Entry 1:
Structure and calculated powder diffractogram of Tb5Zr3Ni16As12 (the GGA-PBE geometry in the Materials Project; Cu Kα X-rays).
Kinematic intensities with the Lorentz-polarization factor, no thermal factor.

Most intense lines, 10 to 90 degrees two-theta, by angle:
- 33.2 deg, intensity 26
- 36.1 deg, intensity 100
- 37.0 deg, intensity 80
- 45.9 deg, intensity 37
- 49.2 deg, intensity 33
- 55.4 deg, intensity 18
- 69.6 deg, intensity 22
- 73.9 deg, intensity 14

Structural model:
Cell: 12.8202 12.8202 3.9523 Å, 90.00 90.00 120.00°
Fractional positions:
Tb (0.0000, 0.8167, 0.0000)
Tb (0.1833, 0.1833, 0.0000)
Tb (0.3333, 0.6667, 0.5000)
Tb (0.6667, 0.3333, 0.5000)
Tb (0.8167, 0.0000, 0.0000)
Zr (0.0000, 0.4378, 0.5000)
Zr (0.4378, 0.0000, 0.5000)
Zr (0.5622, 0.5622, 0.5000)
Ni (0.0000, 0.0000, 0.5000)
Ni (0.0000, 0.2770, 0.0000)
Ni (0.1207, 0.6391, 0.0000)
Ni (0.1827, 0.3761, 0.5000)
Ni (0.1934, 0.8173, 0.5000)
Ni (0.2770, 0.0000, 0.0000)
Ni (0.3609, 0.4816, 0.0000)
Ni (0.3761, 0.1827, 0.5000)
Ni (0.4816, 0.3609, 0.0000)
Ni (0.5184, 0.8793, 0.0000)
Ni (0.6239, 0.8066, 0.5000)
Ni (0.6391, 0.1207, 0.0000)
Ni (0.7230, 0.7230, 0.0000)
Ni (0.8066, 0.6239, 0.5000)
Ni (0.8173, 0.1934, 0.5000)
Ni (0.8793, 0.5184, 0.0000)
As (0.0000, 0.1787, 0.5000)
As (0.0000, 0.6442, 0.5000)
As (0.1717, 0.4787, 0.0000)
As (0.1787, 0.0000, 0.5000)
As (0.3070, 0.8283, 0.0000)
As (0.3558, 0.3558, 0.5000)
As (0.4787, 0.1717, 0.0000)
As (0.5213, 0.6930, 0.0000)
As (0.6442, 0.0000, 0.5000)
As (0.6930, 0.5213, 0.0000)
As (0.8213, 0.8213, 0.5000)
As (0.8283, 0.3070, 0.0000)

Entry 2:
Structure and calculated powder diffractogram of NaH2BrO5 (the GGA-PBE geometry in the Materials Project; Cu Kα X-rays).
Kinematic intensities with the Lorentz-polarization factor, no thermal factor.

Most intense lines, 10 to 90 degrees two-theta, by angle:
- 14.5 deg, intensity 61
- 15.8 deg, intensity 100
- 17.8 deg, intensity 29
- 19.2 deg, intensity 52
- 21.6 deg, intensity 63
- 23.2 deg, intensity 57
- 24.6 deg, intensity 28
- 40.1 deg, intensity 29

Structural model:
Cell: 9.2255 9.2255 12.3563 Å, 99.13 99.13 37.43°
Fractional positions:
Na (0.0000, 0.5000, 0.5000)
Na (0.1049, 0.8951, 0.7500)
Na (0.5000, 0.0000, 0.0000)
Na (0.8951, 0.1049, 0.2500)
H (0.0118, 0.8441, 0.4176)
H (0.1559, 0.9882, 0.0824)
H (0.3097, 0.4356, 0.0458)
H (0.4356, 0.3097, 0.5458)
H (0.5644, 0.6903, 0.4542)
H (0.6903, 0.5644, 0.9542)
H (0.8441, 0.0118, 0.9176)
H (0.9882, 0.1559, 0.5824)
Br (0.3245, 0.4650, 0.2966)
Br (0.4650, 0.3245, 0.7966)
Br (0.5350, 0.6755, 0.2034)
Br (0.6755, 0.5350, 0.7034)
O (0.1125, 0.8009, 0.3660)
O (0.1991, 0.8875, 0.1340)
O (0.2071, 0.4941, 0.6592)
O (0.2278, 0.4080, 0.3575)
O (0.2819, 0.3743, 0.0840)
O (0.3270, 0.5773, 0.8647)
O (0.3743, 0.2819, 0.5840)
O (0.4080, 0.2278, 0.8575)
O (0.4227, 0.6730, 0.6353)
O (0.4941, 0.2071, 0.1592)
O (0.5059, 0.7929, 0.8408)
O (0.5773, 0.3270, 0.3647)
O (0.5920, 0.7722, 0.1425)
O (0.6257, 0.7181, 0.4160)
O (0.6730, 0.4227, 0.1353)
O (0.7181, 0.6257, 0.9160)
O (0.7722, 0.5920, 0.6425)
O (0.7929, 0.5059, 0.3408)
O (0.8009, 0.1125, 0.8660)
O (0.8875, 0.1991, 0.6340)

Entry 3:
Structure and calculated powder diffractogram of Li3CuB3O7 (the GGA-PBE geometry in the Materials Project; Cu Kα X-rays).
Kinematic intensities with the Lorentz-polarization factor, no thermal factor.

Most intense lines, 10 to 90 degrees two-theta, by angle:
- 10.1 deg, intensity 49
- 13.0 deg, intensity 50
- 20.2 deg, intensity 23
- 28.6 deg, intensity 23
- 28.9 deg, intensity 21
- 29.8 deg, intensity 100
- 32.2 deg, intensity 23
- 44.1 deg, intensity 14

Structural model:
Cell: 3.4234 8.8642 9.5866 Å, 84.02 89.63 86.58°
Fractional positions:
Li (0.0037, 0.0935, 0.1391)
Li (0.0250, 0.7442, 0.4580)
Li (0.4886, 0.9711, 0.3654)
Li (0.5114, 0.0289, 0.6346)
Li (0.9750, 0.2558, 0.5420)
Li (0.9963, 0.9065, 0.8609)
Cu (0.3899, 0.3352, 0.0390)
Cu (0.6101, 0.6648, 0.9610)
B (0.0594, 0.2101, 0.8034)
B (0.2385, 0.4864, 0.7548)
B (0.4485, 0.7464, 0.6635)
B (0.5515, 0.2536, 0.3365)
B (0.7615, 0.5136, 0.2452)
B (0.9406, 0.7899, 0.1966)
O (0.0172, 0.9058, 0.2735)
O (0.0956, 0.3533, 0.7175)
O (0.1023, 0.1942, 0.9460)
O (0.2703, 0.6063, 0.6509)
O (0.3489, 0.4988, 0.8889)
O (0.4803, 0.2001, 0.2093)
O (0.4860, 0.1698, 0.4601)
O (0.5140, 0.8302, 0.5399)
O (0.5197, 0.7999, 0.7907)
O (0.6511, 0.5012, 0.1111)
O (0.7297, 0.3937, 0.3491)
O (0.8977, 0.8058, 0.0540)
O (0.9044, 0.6467, 0.2825)
O (0.9828, 0.0942, 0.7265)

Entry 4:
Structure and calculated powder diffractogram of BaNa2Si4 (the GGA-PBE geometry in the Materials Project; Cu Kα X-rays).
Kinematic intensities with the Lorentz-polarization factor, no thermal factor.

Most intense lines, 10 to 90 degrees two-theta, by angle:
- 10.5 deg, intensity 85
- 11.4 deg, intensity 69
- 18.0 deg, intensity 82
- 21.8 deg, intensity 64
- 27.1 deg, intensity 100
- 27.9 deg, intensity 98
- 29.7 deg, intensity 92
- 31.6 deg, intensity 62

Structural model:
Cell: 11.0902 11.0902 11.0902 Å, 128.86 70.89 134.42°
Fractional positions:
Ba (0.0000, 0.0000, 0.0000)
Ba (0.0000, 0.5000, 0.5000)
Ba (0.5027, 0.4193, 0.5834)
Ba (0.8358, 0.9193, 0.4166)
Na (0.1963, 0.5756, 0.1208)
Na (0.2239, 0.5303, 0.7588)
Na (0.2239, 0.9652, 0.1936)
Na (0.4548, 0.0756, 0.8792)
Na (0.4966, 0.4966, 0.0000)
Na (0.4966, 0.9966, 0.5000)
Na (0.7715, 0.0303, 0.8064)
Na (0.7715, 0.4652, 0.2412)
Si (0.0451, 0.6760, 0.8691)
Si (0.1377, 0.1756, 0.7200)
Si (0.1377, 0.9178, 0.4621)
Si (0.1966, 0.3114, 0.3852)
Si (0.2297, 0.0251, 0.7046)
Si (0.3205, 0.5251, 0.2954)
Si (0.4557, 0.4178, 0.2800)
Si (0.4557, 0.6756, 0.5379)
Si (0.5480, 0.0671, 0.2367)
Si (0.5480, 0.8113, 0.9810)
Si (0.6946, 0.9718, 0.2228)
Si (0.7490, 0.4718, 0.7772)
Si (0.8069, 0.1760, 0.1309)
Si (0.8304, 0.3113, 0.7633)
Si (0.8304, 0.5671, 0.0190)
Si (0.9262, 0.8114, 0.6148)

Entry 5:
Structure and calculated powder diffractogram of SmTlTe2 (the GGA-PBE geometry in the Materials Project; Cu Kα X-rays).
Kinematic intensities with the Lorentz-polarization factor, no thermal factor.

Most intense lines, 10 to 90 degrees two-theta, by angle:
- 26.9 deg, intensity 100
- 37.1 deg, intensity 39
- 39.8 deg, intensity 37
- 48.7 deg, intensity 20
- 55.5 deg, intensity 12
- 60.9 deg, intensity 16
- 64.6 deg, intensity 17
- 70.4 deg, intensity 12

Structural model:
Cell: 4.5316 4.5316 24.6563 Å, 90.00 90.00 120.00°
Fractional positions:
Sm (0.0000, 0.0000, 0.0000)
Sm (0.3333, 0.6667, 0.6667)
Sm (0.6667, 0.3333, 0.3333)
Tl (0.0000, 0.0000, 0.5000)
Tl (0.3333, 0.6667, 0.1667)
Tl (0.6667, 0.3333, 0.8333)
Te (0.0000, 0.0000, 0.2612)
Te (0.0000, 0.0000, 0.7388)
Te (0.3333, 0.6667, 0.4055)
Te (0.3333, 0.6667, 0.9278)
Te (0.6667, 0.3333, 0.0722)
Te (0.6667, 0.3333, 0.5945)

Entry 6:
Structure and calculated powder diffractogram of FeCuS2 (the GGA-PBE geometry in the Materials Project; Cu Kα X-rays).
Kinematic intensities with the Lorentz-polarization factor, no thermal factor.

Most intense lines, 10 to 90 degrees two-theta, by angle:
- 29.7 deg, intensity 100
- 34.1 deg, intensity 6
- 48.9 deg, intensity 20
- 49.7 deg, intensity 39
- 58.3 deg, intensity 26
- 59.6 deg, intensity 12
- 71.7 deg, intensity 6
- 80.7 deg, intensity 9

Structural model:
Cell: 5.2636 5.2636 10.2298 Å, 90.00 90.00 90.00°
Fractional positions:
Fe (0.0000, 0.0000, 0.0000)
Fe (0.0000, 0.5000, 0.2500)
Fe (0.5000, 0.0000, 0.7500)
Fe (0.5000, 0.5000, 0.5000)
Cu (0.0000, 0.0000, 0.5000)
Cu (0.0000, 0.5000, 0.7500)
Cu (0.5000, 0.0000, 0.2500)
Cu (0.5000, 0.5000, 0.0000)
S (0.2419, 0.7500, 0.1250)
S (0.2500, 0.2419, 0.8750)
S (0.2500, 0.2581, 0.3750)
S (0.2581, 0.7500, 0.6250)
S (0.7419, 0.2500, 0.6250)
S (0.7500, 0.7419, 0.3750)
S (0.7500, 0.7581, 0.8750)
S (0.7581, 0.2500, 0.1250)